[1]
Theoretical powder XRD pattern
Compound: Pm2Y3Tm3
Radiation: Cu Ka
Structure: a crystal structure in Alexandria, relaxed with GGA-PBE

The 10 most intense peaks (2θ = 10–80°), by intensity:
2θ (°)  I_rel  hkl
30.77  100  2 0 0
35.62  34  2 4 -1
51.39  30  2 4 1
35.81  17  0 0 2
60.91  14  4 4 -1
61.05  14  2 8 0
61.24  14  2 0 2
16.46  7  1 1 0
51.15  6  4 0 -2
64.01  6  4 0 0

Structure:
```
data_Pm2Y3Tm3
_space_group_name_H-M_alt 'C 1 2/m 1'
_space_group_IT_number 12
_space_group_name_Hall '-C 2y'
_cell_length_a 7.143
_cell_length_b 14.232
_cell_length_c 6.157
_cell_angle_alpha 90.00
_cell_angle_beta 125.46
_cell_angle_gamma 90.00
loop_
_atom_site_label
_atom_site_fract_x
_atom_site_fract_y
_atom_site_fract_z
Pm1 0.000 0.249 0.000
Y1 0.000 0.376 0.500
Y2 0.000 0.500 0.000
Tm1 0.000 0.000 0.000
Tm2 0.000 0.123 0.500
```



[2]
Theoretical powder XRD pattern
Compound: PmY2Tm4
Radiation: Cu Ka
Structure: a crystal structure in Alexandria, relaxed with GGA-PBE

The 10 most intense peaks (2θ = 10–80°), by intensity:
2θ (°)  I_rel  hkl
31.40  100  1 0 3
33.53  71  1 2 -2
32.21  61  1 0 -4
29.65  44  2 0 -1
31.70  32  0 2 2
33.23  30  1 2 1
36.59  28  0 2 3
31.29  25  1 2 0
57.99  18  0 0 7
28.72  17  1 1 -3

Structure:
```
data_PmY2Tm4
_space_group_name_H-M_alt 'P 1 21/m 1'
_space_group_IT_number 11
_space_group_name_Hall '-P 2yb'
_cell_length_a 6.029
_cell_length_b 6.550
_cell_length_c 11.454
_cell_angle_alpha 90.00
_cell_angle_beta 103.52
_cell_angle_gamma 90.00
loop_
_atom_site_label
_atom_site_fract_x
_atom_site_fract_y
_atom_site_fract_z
Pm1 0.046 0.250 0.364
Y1 0.162 0.250 0.949
Y2 0.396 0.750 0.512
Tm1 0.145 0.250 0.664
Tm2 0.276 0.750 0.919
Tm3 0.347 0.508 0.209
```



[3]
Theoretical powder XRD pattern
Compound: Pm2Y3Tm8
Radiation: Cu Ka
Structure: a crystal structure in Alexandria, relaxed with GGA-PBE

The 10 most intense peaks (2θ = 10–80°), by intensity:
2θ (°)  I_rel  hkl
33.65  100  4 2 1
32.52  38  0 0 2
30.65  32  6 0 -1
29.53  25  5 1 1
58.75  20  4 2 -3
48.32  19  0 4 0
25.15  18  2 2 0
17.19  16  4 0 0
28.70  15  0 2 1
34.78  13  8 0 0

Structure:
```
data_Pm2Y3Tm8
_space_group_name_H-M_alt 'C 1 2/m 1'
_space_group_IT_number 12
_space_group_name_Hall '-C 2y'
_cell_length_a 20.634
_cell_length_b 7.539
_cell_length_c 5.506
_cell_angle_alpha 90.00
_cell_angle_beta 90.01
_cell_angle_gamma 90.00
loop_
_atom_site_label
_atom_site_fract_x
_atom_site_fract_y
_atom_site_fract_z
Pm1 0.241 0.000 0.499
Y1 0.000 0.000 0.500
Y2 0.000 0.285 0.000
Tm1 0.109 0.286 0.500
Tm2 0.130 0.000 0.000
Tm3 0.163 0.500 0.000
```



What is the formula in the first record? Pm2Y3Tm3



What is the formula in the first record? Pm2Y3Tm3



Number 1 is which compound? Pm2Y3Tm3